LuMnSi: simulated X-ray diffraction stick pattern (CuKα), based on a structure optimized by DFT (GGA-PBE).
Neutral-atom scattering factors, no anomalous dispersion.

Structural model:
```
data_LuMnSi
_cell_length_a 6.7922
_cell_length_b 4.0123
_cell_length_c 7.5300
_cell_angle_alpha 90.00
_cell_angle_beta 90.00
_cell_angle_gamma 90.00
_symmetry_space_group_name_H-M 'P 1'
_symmetry_Int_Tables_number 1
_symmetry_space_group_name_Hall 'P 1'
loop_
_atom_site_label
_atom_site_type_symbol
_atom_site_fract_x
_atom_site_fract_y
_atom_site_fract_z
_atom_site_occupancy
Lu1 Lu 0.0143 0.2500 0.1854 1
Lu2 Lu 0.4857 0.7500 0.6854 1
Lu3 Lu 0.5143 0.2500 0.3146 1
Lu4 Lu 0.9857 0.7500 0.8146 1
Mn1 Mn 0.1407 0.2500 0.5584 1
Mn2 Mn 0.3593 0.7500 0.0584 1
Mn3 Mn 0.6407 0.2500 0.9416 1
Mn4 Mn 0.8593 0.7500 0.4416 1
Si1 Si 0.2157 0.7500 0.3855 1
Si2 Si 0.2843 0.2500 0.8855 1
Si3 Si 0.7157 0.7500 0.1145 1
Si4 Si 0.7843 0.2500 0.6145 1
```

Top 10 peaks for 2θ = 15–90°, in order of rising 2θ:
hkl 0 1 1, 2θ 25.1, I = 59
hkl 2 0 0, 2θ 26.2, I = 33
hkl 1 1 2, 2θ 35.3, I = 85
hkl 2 0 2, 2θ 35.6, I = 29
hkl 2 1 1, 2θ 36.7, I = 100
hkl 1 0 3, 2θ 38.2, I = 43
hkl 0 1 3, 2θ 42.5, I = 18
hkl 0 2 0, 2θ 45.2, I = 29
hkl 1 2 3, 2θ 60.6, I = 22
hkl 3 1 4, 2θ 69.0, I = 24